Diffraction record for NdBeSb. The PXRD pattern is computed, not measured: it uses the GGA-PBE geometry in Alexandria and λ = 1.5418 Å (Cu Kα).
Kinematic intensities with the Lorentz-polarization factor, no thermal factor.

Structure:
Cell lengths 6.4392, 6.4392, 12.2003 Å; angles 90.00, 90.00, 120.00 degrees
Element x y z (fractional)
Nd1 0.0000 0.5000 0.3915
Nd2 0.0000 0.5000 0.9418
Nd3 0.5000 0.0000 0.2752
Nd4 0.5000 0.0000 0.7248
Nd5 0.5000 0.5000 0.0582
Nd6 0.5000 0.5000 0.6085
Be1 0.1782 0.5891 0.1667
Be2 0.4109 0.5891 0.8333
Be3 0.4109 0.8218 0.5000
Be4 0.5891 0.1782 0.5000
Be5 0.5891 0.4109 0.8333
Be6 0.8218 0.4109 0.1667
Sb1 0.0000 0.0000 0.1667
Sb2 0.0000 0.0000 0.5000
Sb3 0.0000 0.0000 0.8333
Sb4 0.0000 0.5000 0.6667
Sb5 0.5000 0.0000 0.0000
Sb6 0.5000 0.5000 0.3333

Principal peaks in the range 2θ from 10° to 80°, most intense first:
d 2.788, I = 1000, hkl 2 0 0; d 3.286, I = 437, hkl 1 0 3; d 2.676, I = 368, hkl 1 0 4; d 2.524, I = 237, hkl 1 1 3; d 2.214, I = 211, hkl 1 1 4; d 1.734, I = 188, hkl 2 1 4; d 1.610, I = 187, hkl 2 2 0; d 1.871, I = 180, hkl 2 1 3; d 4.116, I = 176, hkl 1 0 2; d 1.394, I = 114, hkl 4 0 0